Calculated powder XRD pattern of AlPb2WO6 for copper Kα, from a DFT-relaxed cell (GGA+U, Alexandria).
Lines closer than 0.1° are merged.

Principal peaks in the range 2θ from 10° to 90°, low angle first:
- 2θ = 19.3°, intensity 8
- 2θ = 19.5°, intensity 10
- 2θ = 31.9°, intensity 100
- 2θ = 32.3°, intensity 19
- 2θ = 45.3°, intensity 11
- 2θ = 46.0°, intensity 22
- 2θ = 56.5°, intensity 8
- 2θ = 56.8°, intensity 25
- 2θ = 57.4°, intensity 16
- 2θ = 66.6°, intensity 17

Cell and atoms:
```
data_AlPb2WO6
_chemical_formula_sum 'Al1 Pb2 W1 O6'
_symmetry_space_group_name_H-M 'P 1'
_symmetry_Int_Tables_number 1
_cell_length_a 5.6194
_cell_length_b 5.6194
_cell_length_c 5.6194
_cell_angle_alpha 120.95
_cell_angle_beta 120.03
_cell_angle_gamma 89.16
loop_
_symmetry_equiv_pos_as_xyz
'x,y,z'
loop_
_atom_site_label
_atom_site_fract_x
_atom_site_fract_y
_atom_site_fract_z
Al1 0.0000 0.0000 0.0000
Pb1 0.2477 0.7477 0.5000
Pb2 0.7523 0.2523 0.5000
W1 0.5000 0.5000 0.0000
O1 0.2434 0.2491 0.4925
O2 0.2434 0.7509 0.9944
O3 0.2438 0.2438 0.0000
O4 0.7562 0.7562 0.0000
O5 0.7566 0.2491 0.0056
O6 0.7566 0.7509 0.5075
```